Structure and computed X-ray diffraction stick pattern of In3GaN4 (a structure optimized by DFT (GGA-PBE); Cu Kα X-rays).
Intensities are scaled so that the largest is 100.

Main lines, low angle first (2θ from 10° to 90°):
- 2θ 29.53, rel. 37
- 2θ 31.52, rel. 31
- 2θ 33.57, rel. 100
- 2θ 43.73, rel. 19
- 2θ 52.39, rel. 27
- 2θ 57.44, rel. 27
- 2θ 62.43, rel. 25
- 2θ 63.67, rel. 16

Structural model:
```
data_In3GaN4
_cell_length_a 3.4929
_cell_length_b 3.4929
_cell_length_c 11.3549
_cell_angle_alpha 90.00
_cell_angle_beta 90.00
_cell_angle_gamma 120.00
_symmetry_space_group_name_H-M 'P 3 m 1'
_symmetry_Int_Tables_number 156
loop_
_symmetry_equiv_pos_as_xyz
'x,y,z'
'-y,x-y,z'
'-x+y,-x,z'
'-y,-x,z'
'-x+y,y,z'
'x,x-y,z'
loop_
_atom_site_label
_atom_site_type_symbol
_atom_site_fract_x
_atom_site_fract_y
_atom_site_fract_z
In1 In 0.0000 0.0000 0.0000
In2 In 0.0000 0.0000 0.4821
In3 In 0.6667 0.3333 0.7411
Ga1 Ga 0.6667 0.3333 0.2383
N1 N 0.0000 0.0000 0.2880
N2 N 0.0000 0.0000 0.8079
N3 N 0.6667 0.3333 0.0663
N4 N 0.6667 0.3333 0.5497
```



Structure and computed X-ray diffraction stick pattern of SnH4SNO4F (a structure optimized by DFT (GGA-PBE); Cu Kα X-rays).
Intensities are scaled so that the largest is 100.

Main lines, low angle first (2θ from 10° to 90°):
- 2θ 11.44, rel. 100
- 2θ 15.80, rel. 22
- 2θ 18.87, rel. 21
- 2θ 20.38, rel. 24
- 2θ 24.69, rel. 25
- 2θ 24.97, rel. 36
- 2θ 28.90, rel. 27
- 2θ 29.09, rel. 37

Structural model:
```
data_SnH4SNO4F
_cell_length_a 4.9363
_cell_length_b 15.4719
_cell_length_c 8.1498
_cell_angle_alpha 90.00
_cell_angle_beta 90.39
_cell_angle_gamma 90.00
_symmetry_space_group_name_H-M 'P 1 21/c 1'
_symmetry_Int_Tables_number 14
loop_
_symmetry_equiv_pos_as_xyz
'x,y,z'
'-x,-y,-z'
'-x,y+1/2,-z+1/2'
'x,-y+1/2,z+1/2'
loop_
_atom_site_label
_atom_site_type_symbol
_atom_site_fract_x
_atom_site_fract_y
_atom_site_fract_z
Sn1 Sn 0.2068 0.2225 0.0280
H1 H 0.0765 0.5748 0.7061
H2 H 0.2328 0.5627 0.8899
H3 H 0.2656 0.0140 0.2442
H4 H 0.4214 0.5820 0.7184
S1 S 0.2629 0.6458 0.2309
N1 N 0.2494 0.5516 0.7641
O1 O 0.1018 0.6298 0.3864
O2 O 0.2008 0.5788 0.1094
O3 O 0.2015 0.7348 0.1716
O4 O 0.4417 0.1392 0.2209
F1 F 0.2607 0.1250 0.8544
```



Structure and computed X-ray diffraction stick pattern of HfSiSe (a structure optimized by DFT (GGA-PBE); Cu Kα X-rays).
Intensities are scaled so that the largest is 100.

Main lines, low angle first (2θ from 10° to 90°):
- 2θ 20.67, rel. 58
- 2θ 26.93, rel. 77
- 2θ 35.38, rel. 70
- 2θ 40.28, rel. 100
- 2θ 41.32, rel. 76
- 2θ 50.90, rel. 39
- 2θ 59.64, rel. 34
- 2θ 66.82, rel. 45

Structural model:
```
data_HfSiSe
_cell_length_a 3.5883
_cell_length_b 3.5883
_cell_length_c 8.5957
_cell_angle_alpha 90.00
_cell_angle_beta 90.00
_cell_angle_gamma 90.00
_symmetry_space_group_name_H-M 'P 4/n m m'
_symmetry_Int_Tables_number 129
loop_
_symmetry_equiv_pos_as_xyz
'x,y,z'
'-x,-y,-z'
'-y+1/2,x,z'
'y+1/2,-x,-z'
'-x+1/2,-y+1/2,z'
'x+1/2,y+1/2,-z'
'y,-x+1/2,z'
'-y,x+1/2,-z'
'x+1/2,-y,-z'
'-x+1/2,y,z'
'-y,-x,-z'
'y,x,z'
'-x,y+1/2,-z'
'x,-y+1/2,z'
'y+1/2,x+1/2,-z'
'-y+1/2,-x+1/2,z'
loop_
_atom_site_label
_atom_site_type_symbol
_atom_site_fract_x
_atom_site_fract_y
_atom_site_fract_z
Hf1 Hf 0.2500 0.2500 0.2475
Si1 Si 0.2500 0.7500 0.0000
Se1 Se 0.2500 0.2500 0.6280
```



Structure and computed X-ray diffraction stick pattern of Mg5Bi (a structure optimized by DFT (GGA-PBE); Cu Kα X-rays).
Intensities are scaled so that the largest is 100.

Main lines, low angle first (2θ from 10° to 90°):
- 2θ 16.56, rel. 38
- 2θ 19.05, rel. 83
- 2θ 21.34, rel. 64
- 2θ 28.82, rel. 32
- 2θ 31.83, rel. 40
- 2θ 33.45, rel. 46
- 2θ 36.09, rel. 100
- 2θ 46.85, rel. 36

Structural model:
```
data_Mg5Bi
_cell_length_a 5.6226
_cell_length_b 5.6226
_cell_length_c 16.0607
_cell_angle_alpha 90.00
_cell_angle_beta 90.00
_cell_angle_gamma 120.00
_symmetry_space_group_name_H-M 'R 3 2'
_symmetry_Int_Tables_number 155
_symmetry_space_group_name_Hall 'R 3 2"'
loop_
_atom_site_label
_atom_site_type_symbol
_atom_site_fract_x
_atom_site_fract_y
_atom_site_fract_z
Mg1 Mg 0.0000 0.0000 0.1670
Mg2 Mg 0.0000 0.6682 0.0000
Bi1 Bi 0.0000 0.0000 0.5000
```



Structure and computed X-ray diffraction stick pattern of ScSe2 (a structure optimized by DFT (GGA-PBE); Cu Kα X-rays).
Intensities are scaled so that the largest is 100.

Main lines, low angle first (2θ from 10° to 90°):
- 2θ 31.98, rel. 32
- 2θ 33.90, rel. 31
- 2θ 34.02, rel. 100
- 2θ 39.45, rel. 50
- 2θ 41.07, rel. 26
- 2θ 45.94, rel. 43
- 2θ 58.30, rel. 25
- 2θ 77.29, rel. 29

Structural model:
```
data_ScSe2
_cell_length_a 3.9509
_cell_length_b 3.9509
_cell_length_c 7.9333
_cell_angle_alpha 90.00
_cell_angle_beta 90.00
_cell_angle_gamma 90.00
_symmetry_space_group_name_H-M 'P 4/n m m'
_symmetry_Int_Tables_number 129
loop_
_symmetry_equiv_pos_as_xyz
'x,y,z'
'-x,-y,-z'
'-y+1/2,x,z'
'y+1/2,-x,-z'
'-x+1/2,-y+1/2,z'
'x+1/2,y+1/2,-z'
'y,-x+1/2,z'
'-y,x+1/2,-z'
'x+1/2,-y,-z'
'-x+1/2,y,z'
'-y,-x,-z'
'y,x,z'
'-x,y+1/2,-z'
'x,-y+1/2,z'
'y+1/2,x+1/2,-z'
'-y+1/2,-x+1/2,z'
loop_
_atom_site_label
_atom_site_type_symbol
_atom_site_fract_x
_atom_site_fract_y
_atom_site_fract_z
Sc1 Sc 0.2500 0.2500 0.2268
Se1 Se 0.2500 0.2500 0.8733
Se2 Se 0.2500 0.7500 0.5000
```